# 1
The following is a simulated PXRD pattern of GdS. It was derived from DFT lattice parameters and positions (GGA-PBE), using Cu Kα X-rays.

Structure:
Cell lengths 5.589, 5.589, 5.589 Å; angles 90.00, 90.00, 90.00 degrees
Space group Fm-3m (No. 225)
Inequivalent atoms, fractional coordinates:
Gd  0.000  0.000  0.000 (multiplicity 4)
S  0.000  0.000  0.500 (multiplicity 4)

Most intense lines, 2θ from 10° to 90°, low angle first:
| 2theta | Rel. int. | hkl |
| --- | --- | --- |
| 27.65 | 80 | 1 1 1 |
| 32.03 | 100 | 2 0 0 |
| 45.93 | 72 | 2 2 0 |
| 54.45 | 39 | 3 1 1 |
| 57.09 | 25 | 2 2 2 |
| 66.98 | 12 | 4 0 0 |
| 73.92 | 16 | 3 3 1 |
| 76.18 | 32 | 4 2 0 |
| 85.03 | 25 | 4 2 2 |

=====

# 2
The following is a simulated PXRD pattern of Gd2S3. It was derived from DFT lattice parameters and positions (GGA-PBE), using Cu Kα X-rays.

Structure:
Cell lengths 10.769, 3.924, 10.559 Å; angles 90.00, 90.00, 90.00 degrees
Space group Pnma (No. 62)
Inequivalent atoms, fractional coordinates:
Gd  0.009  0.250  0.186 (multiplicity 4)
Gd  0.191  0.250  0.505 (multiplicity 4)
S  0.047  0.750  0.373 (multiplicity 4)
S  0.120  0.250  0.944 (multiplicity 4)
S  0.228  0.750  0.697 (multiplicity 4)

Most intense lines, 2θ from 10° to 90°, low angle first:
| 2theta | Rel. int. | hkl |
| --- | --- | --- |
| 23.60 | 100 | 2 0 2 |
| 24.20 | 45 | 0 1 1 |
| 25.59 | 44 | 1 1 1 |
| 26.22 | 57 | 3 0 1 |
| 26.64 | 50 | 1 0 3 |
| 29.55 | 50 | 1 1 2 |
| 32.95 | 36 | 2 1 2 |
| 35.25 | 59 | 1 1 3 |
| 37.99 | 50 | 2 0 4 |
| 46.28 | 36 | 0 2 0 |

=====

# 3
The following is a simulated PXRD pattern of Gd2S3. It was derived from DFT lattice parameters and positions (GGA-PBE), using Cu Kα X-rays.

Structure:
Cell lengths 7.431, 3.932, 15.248 Å; angles 90.00, 90.00, 90.00 degrees
Space group Pnma (No. 62)
Inequivalent atoms, fractional coordinates:
Gd  0.127  0.250  0.208 (multiplicity 4)
Gd  0.233  0.750  0.459 (multiplicity 4)
S  0.010  0.250  0.393 (multiplicity 4)
S  0.121  0.750  0.070 (multiplicity 4)
S  0.160  0.250  0.781 (multiplicity 4)

Most intense lines, 2θ from 10° to 90°, low angle first:
| 2theta | Rel. int. | hkl |
| --- | --- | --- |
| 23.35 | 27 | 0 0 4 |
| 24.66 | 29 | 2 0 1 |
| 26.29 | 100 | 1 0 4 |
| 28.70 | 34 | 0 1 3 |
| 35.26 | 49 | 2 1 2 |
| 39.30 | 29 | 1 1 5 |
| 46.17 | 21 | 0 2 0 |
| 46.89 | 17 | 3 1 3 |
| 49.37 | 18 | 1 0 8 |
| 70.86 | 16 | 4 2 2 |

=====

# 4
The following is a simulated PXRD pattern of Gd3Sc2S7. It was derived from DFT lattice parameters and positions (GGA-PBE), using Cu Kα X-rays.

Structure:
Cell lengths 12.497, 3.797, 11.491 Å; angles 90.00, 105.11, 90.00 degrees
Space group C2/m (No. 12)
Inequivalent atoms, fractional coordinates:
Gd  0.000  0.000  0.000 (multiplicity 2)
Gd  0.195  0.500  0.797 (multiplicity 4)
Sc  0.112  0.000  0.430 (multiplicity 4)
S  0.000  0.500  0.500 (multiplicity 2)
S  0.029  0.000  0.774 (multiplicity 4)
S  0.163  0.500  0.054 (multiplicity 4)
S  0.236  0.500  0.364 (multiplicity 4)

Most intense lines, 2θ from 10° to 90°, low angle first:
| 2theta | Rel. int. | hkl |
| --- | --- | --- |
| 24.47 | 97 | 2 0 2 |
| 24.74 | 100 | 2 0 -3 |
| 25.26 | 68 | 1 1 -1 |
| 28.35 | 54 | 1 1 -2 |
| 32.43 | 96 | 3 1 0 |
| 33.57 | 48 | 3 1 -2 |
| 34.86 | 75 | 3 1 1 |
| 36.04 | 50 | 1 1 3 |
| 42.58 | 51 | 1 1 4 |
| 47.91 | 41 | 0 2 0 |